Computed XRD peak list of B4Pt3W2 for copper Kα, from a PBE-relaxed structure.

Peak list (10 most intense, 2θ from 10° to 90°, low angle first)
2θ/deg	I/Imax
25.67	81
29.73	58
31.81	31
35.23	55
39.67	100
41.32	42
44.09	78
51.72	73
65.03	28
77.02	32

a = 6.9405 Å, b = 6.9405 Å, c = 2.8131 Å
α = 90.00°, β = 90.00°, γ = 120.00°
Space group P-6 (No. 174)
Asymmetric unit:
B 0.0000 0.0000 0.0000 [1 per cell]
B 0.0294 0.5312 0.0000 [3 per cell]
Pt 0.2592 0.2192 0.5000 [3 per cell]
W 0.3333 0.6667 0.5000 [1 per cell]
W 0.6667 0.3333 0.0000 [1 per cell]